(1)
Structure and theoretical powder diffractogram of Rb2AgBiF6 (a PBE-relaxed structure; Cu Kα X-rays).
No peak broadening, texture or thermal motion is included.

```
data_Rb2AgBiF6
_chemical_formula_sum 'Rb8 Ag4 Bi4 F24'
_space_group_name_H-M_alt 'F m -3 m'
_space_group_IT_number 225
_space_group_name_Hall '-F 4 2 3'
_cell_length_a 9.4323
_cell_length_b 9.4323
_cell_length_c 9.4323
_cell_angle_alpha 90.00
_cell_angle_beta 90.00
_cell_angle_gamma 90.00
loop_
_atom_site_label
_atom_site_type_symbol
_atom_site_fract_x
_atom_site_fract_y
_atom_site_fract_z
Rb1 Rb 0.2500 0.2500 0.2500
Ag1 Ag 0.0000 0.0000 0.0000
Bi1 Bi 0.0000 0.0000 0.5000
F1 F 0.0000 0.0000 0.2594
```

Top 8 peaks for 15 to 90 degrees two-theta, in order of rising 2θ:
two_theta  I (rel.)  (hkl)
18.82  19.4  2 0 0
26.73  100.0  2 2 0
38.16  35.4  4 0 0
47.21  43.1  4 2 2
55.08  23.0  4 4 0
62.25  19.3  6 2 0
75.41  22.5  6 4 2
87.82  11.9  6 6 0

(2)
Structure and theoretical powder diffractogram of AgGeBiTe3 (a PBE-relaxed structure; Cu Kα X-rays).
No peak broadening, texture or thermal motion is included.

```
data_AgGeBiTe3
_chemical_formula_sum 'Ag2 Ge2 Bi2 Te6'
_space_group_name_H-M_alt 'I m m 2'
_space_group_IT_number 44
_space_group_name_Hall 'I 2 -2'
_cell_length_a 4.3586
_cell_length_b 6.1481
_cell_length_c 13.0958
_cell_angle_alpha 90.00
_cell_angle_beta 90.00
_cell_angle_gamma 90.00
loop_
_atom_site_label
_atom_site_type_symbol
_atom_site_fract_x
_atom_site_fract_y
_atom_site_fract_z
Ag1 Ag 0.0000 0.0000 0.0000
Ge1 Ge 0.0000 0.0000 0.3278
Bi1 Bi 0.0000 0.0000 0.6670
Te1 Te 0.0000 0.5000 0.3379
Te2 Te 0.0000 0.5000 0.6700
Te3 Te 0.0000 0.5000 0.9916
```

Top 8 peaks for 15 to 90 degrees two-theta, in order of rising 2θ:
two_theta  I (rel.)  (hkl)
28.98  100.0  0 2 0
41.40  25.2  2 0 0
41.47  50.4  1 2 3
51.37  26.8  2 2 0
67.99  22.5  3 0 3
68.17  11.4  1 4 3
75.55  16.6  3 2 3
75.70  8.4  2 4 0

(3)
Structure and theoretical powder diffractogram of K2AgBiI6 (a PBE-relaxed structure; Cu Kα X-rays).
No peak broadening, texture or thermal motion is included.

```
data_K2AgBiI6
_chemical_formula_sum 'K8 Ag4 Bi4 I24'
_space_group_name_H-M_alt 'F m -3 m'
_space_group_IT_number 225
_space_group_name_Hall '-F 4 2 3'
_cell_length_a 12.1550
_cell_length_b 12.1550
_cell_length_c 12.1550
_cell_angle_alpha 90.00
_cell_angle_beta 90.00
_cell_angle_gamma 90.00
loop_
_atom_site_label
_atom_site_type_symbol
_atom_site_fract_x
_atom_site_fract_y
_atom_site_fract_z
K1 K 0.2500 0.2500 0.2500
Ag1 Ag 0.0000 0.0000 0.0000
Bi1 Bi 0.0000 0.0000 0.5000
I1 I 0.0000 0.0000 0.2464
```

Top 8 peaks for 15 to 90 degrees two-theta, in order of rising 2θ:
two_theta  I (rel.)  (hkl)
25.38  39.5  2 2 2
29.39  100.0  4 0 0
32.96  52.8  4 2 0
42.05  74.4  4 4 0
44.74  28.6  6 0 0
52.13  26.1  4 4 4
69.12  33.2  8 4 0
76.84  24.7  8 4 4

(4)
Structure and theoretical powder diffractogram of Rb2AgBiI6 (a PBE-relaxed structure; Cu Kα X-rays).
No peak broadening, texture or thermal motion is included.

```
data_Rb2AgBiI6
_chemical_formula_sum 'Rb8 Ag4 Bi4 I24'
_space_group_name_H-M_alt 'F m -3 m'
_space_group_IT_number 225
_space_group_name_Hall '-F 4 2 3'
_cell_length_a 12.1977
_cell_length_b 12.1977
_cell_length_c 12.1977
_cell_angle_alpha 90.00
_cell_angle_beta 90.00
_cell_angle_gamma 90.00
loop_
_atom_site_label
_atom_site_type_symbol
_atom_site_fract_x
_atom_site_fract_y
_atom_site_fract_z
Rb1 Rb 0.2500 0.2500 0.2500
Ag1 Ag 0.0000 0.0000 0.0000
Bi1 Bi 0.0000 0.0000 0.5000
I1 I 0.0000 0.0000 0.2466
```

Top 8 peaks for 15 to 90 degrees two-theta, in order of rising 2θ:
two_theta  I (rel.)  (hkl)
25.29  46.7  2 2 2
29.29  100.0  4 0 0
32.84  29.9  4 2 0
41.90  74.8  4 4 0
49.57  21.0  6 2 2
51.94  26.4  4 4 4
68.85  33.8  8 4 0
76.52  25.2  8 4 4

(5)
Structure and theoretical powder diffractogram of K2AgBi (a PBE-relaxed structure; Cu Kα X-rays).
No peak broadening, texture or thermal motion is included.

```
data_K2AgBi
_chemical_formula_sum 'K8 Ag4 Bi4'
_space_group_name_H-M_alt 'C m c m'
_space_group_IT_number 63
_space_group_name_Hall '-C 2c 2'
_cell_length_a 10.7929
_cell_length_b 8.5065
_cell_length_c 6.4847
_cell_angle_alpha 90.00
_cell_angle_beta 90.00
_cell_angle_gamma 90.00
loop_
_atom_site_label
_atom_site_type_symbol
_atom_site_fract_x
_atom_site_fract_y
_atom_site_fract_z
K1 K 0.1742 0.1529 0.2500
Ag1 Ag 0.0000 0.5000 0.0000
Bi1 Bi 0.0000 0.2288 0.7500
```

Top 8 peaks for 15 to 90 degrees two-theta, in order of rising 2θ:
two_theta  I (rel.)  (hkl)
16.43  87.1  2 0 0
19.07  100.0  1 1 1
30.29  83.0  3 1 1
30.65  28.8  1 1 2
34.79  45.3  0 2 2
35.54  29.6  1 3 1
38.70  51.5  2 2 2
48.86  27.7  4 2 2

(6)
Structure and theoretical powder diffractogram of MgAg20Bi4O16 (a PBE-relaxed structure; Cu Kα X-rays).
No peak broadening, texture or thermal motion is included.

```
data_MgAg20Bi4O16
_chemical_formula_sum 'Mg1 Ag20 Bi4 O16'
_space_group_name_H-M_alt 'P 1'
_space_group_IT_number 1
_space_group_name_Hall 'P 1'
_cell_length_a 5.9761
_cell_length_b 9.1459
_cell_length_c 13.7462
_cell_angle_alpha 86.39
_cell_angle_beta 85.70
_cell_angle_gamma 89.05
loop_
_atom_site_label
_atom_site_type_symbol
_atom_site_fract_x
_atom_site_fract_y
_atom_site_fract_z
Mg1 Mg 0.0000 0.0000 0.0000
Ag1 Ag 0.0028 0.3728 0.9552
Ag2 Ag 0.0218 0.0421 0.3930
Ag3 Ag 0.0250 0.0198 0.6238
Ag4 Ag 0.0580 0.6723 0.2991
Ag5 Ag 0.1219 0.0809 0.1864
Ag6 Ag 0.1753 0.8528 0.8471
Ag7 Ag 0.2286 0.2685 0.7625
Ag8 Ag 0.2737 0.7893 0.4804
Ag9 Ag 0.3293 0.3156 0.2699
Ag10 Ag 0.4069 0.8448 0.0078
Ag11 Ag 0.4433 0.5834 0.8644
Ag12 Ag 0.4584 0.5714 0.1320
Ag13 Ag 0.4769 0.5077 0.6154
Ag14 Ag 0.5532 0.1636 0.4566
Ag15 Ag 0.5774 0.5433 0.3789
Ag16 Ag 0.6314 0.9469 0.8293
Ag17 Ag 0.7272 0.2661 0.7592
Ag18 Ag 0.7597 0.7934 0.4811
Ag19 Ag 0.8184 0.3138 0.2595
Ag20 Ag 0.8333 0.7089 0.9862
Bi1 Bi 0.0312 0.3986 0.5051
Bi2 Bi 0.5071 0.2328 0.0135
Bi3 Bi 0.5960 0.9206 0.2388
Bi4 Bi 0.9309 0.6238 0.7159
O1 O 0.0045 0.6557 0.5443
O2 O 0.0536 0.4333 0.3331
O3 O 0.1346 0.1640 0.5059
O4 O 0.1457 0.1793 0.0328
O5 O 0.2868 0.6313 0.7238
O6 O 0.3910 0.4514 0.0124
O7 O 0.4685 0.1768 0.8554
O8 O 0.5031 0.6883 0.2553
O9 O 0.5248 0.9347 0.4077
O10 O 0.5778 0.1970 0.1873
O11 O 0.6647 0.3851 0.5003
O12 O 0.7450 0.9032 0.0734
O13 O 0.8480 0.5492 0.8791
O14 O 0.9192 0.8695 0.7378
O15 O 0.9448 0.9025 0.2746
O16 O 0.9879 0.3736 0.6742
```

Top 8 peaks for 15 to 90 degrees two-theta, in order of rising 2θ:
two_theta  I (rel.)  (hkl)
29.94  43.3  1 2 3
31.41  45.4  0 3 2
31.71  40.2  0 2 4
32.93  61.4  1 3 0
33.08  53.7  1 1 -4
33.22  59.2  1 -3 0
33.72  100.0  0 2 -4
35.01  69.6  -2 1 2

Copy entry 2 word for word.
Structure and theoretical powder diffractogram of AgGeBiTe3 (a PBE-relaxed structure; Cu Kα X-rays).
No peak broadening, texture or thermal motion is included.

```
data_AgGeBiTe3
_chemical_formula_sum 'Ag2 Ge2 Bi2 Te6'
_space_group_name_H-M_alt 'I m m 2'
_space_group_IT_number 44
_space_group_name_Hall 'I 2 -2'
_cell_length_a 4.3586
_cell_length_b 6.1481
_cell_length_c 13.0958
_cell_angle_alpha 90.00
_cell_angle_beta 90.00
_cell_angle_gamma 90.00
loop_
_atom_site_label
_atom_site_type_symbol
_atom_site_fract_x
_atom_site_fract_y
_atom_site_fract_z
Ag1 Ag 0.0000 0.0000 0.0000
Ge1 Ge 0.0000 0.0000 0.3278
Bi1 Bi 0.0000 0.0000 0.6670
Te1 Te 0.0000 0.5000 0.3379
Te2 Te 0.0000 0.5000 0.6700
Te3 Te 0.0000 0.5000 0.9916
```

Top 8 peaks for 15 to 90 degrees two-theta, in order of rising 2θ:
two_theta  I (rel.)  (hkl)
28.98  100.0  0 2 0
41.40  25.2  2 0 0
41.47  50.4  1 2 3
51.37  26.8  2 2 0
67.99  22.5  3 0 3
68.17  11.4  1 4 3
75.55  16.6  3 2 3
75.70  8.4  2 4 0